[1]
Diffraction record for InAs. The powder diffraction line list is simulated, not measured: it uses DFT lattice parameters and positions (GGA-PBE) and Cu Kα (λ = 1.5418 Å).

Unit cell a=7.5516 b=7.5516 c=7.5516 alpha=90.00 beta=90.00 gamma=90.00
Element x y z (fractional)
In: 0.1612 0.1612 0.1612
In: 0.1612 0.3388 0.6612
In: 0.3388 0.6612 0.1612
In: 0.3388 0.8388 0.6612
In: 0.6612 0.1612 0.3388
In: 0.6612 0.3388 0.8388
In: 0.8388 0.6612 0.3388
In: 0.8388 0.8388 0.8388
As: 0.1361 0.6361 0.8639
As: 0.1361 0.8639 0.3639
As: 0.3639 0.1361 0.8639
As: 0.3639 0.3639 0.3639
As: 0.6361 0.6361 0.6361
As: 0.6361 0.8639 0.1361
As: 0.8639 0.1361 0.6361
As: 0.8639 0.3639 0.1361

Peak list (10 most intense, 2θ from 15° to 90°, low angle first)
two_theta	I/Imax
23.56	22
26.39	8
28.96	100
35.67	8
44.91	81
48.20	18
51.33	7
62.74	12
67.99	11
78.00	21


[2]
Diffraction record for InAs2. The powder diffraction line list is simulated, not measured: it uses DFT lattice parameters and positions (GGA-PBE) and Cu Kα (λ = 1.5418 Å).

Unit cell a=6.6878 b=6.6878 c=5.8766 alpha=92.10 beta=92.10 gamma=32.90
Element x y z (fractional)
In: 0.1715 0.1715 0.2442
In: 0.8285 0.8285 0.7558
As: 0.1484 0.1484 0.7529
As: 0.4908 0.4908 0.2826
As: 0.5092 0.5092 0.7174
As: 0.8516 0.8516 0.2471

Peak list (10 most intense, 2θ from 15° to 90°, low angle first)
two_theta	I/Imax
30.44	55
31.57	100
42.30	19
43.83	36
45.01	37
48.04	16
54.02	12
57.95	18
65.91	11
73.41	14


[3]
Diffraction record for In7As. The powder diffraction line list is simulated, not measured: it uses DFT lattice parameters and positions (GGA-PBE) and Cu Kα (λ = 1.5418 Å).

Unit cell a=6.6837 b=6.6837 c=6.6837 alpha=60.00 beta=60.00 gamma=60.00
Element x y z (fractional)
In: 0.0000 0.0000 0.0000
In: 0.0000 0.0000 0.5000
In: 0.0000 0.5000 0.0000
In: 0.0000 0.5000 0.5000
In: 0.5000 0.0000 0.0000
In: 0.5000 0.0000 0.5000
In: 0.5000 0.5000 0.0000
As: 0.5000 0.5000 0.5000

Peak list (9 most intense, 2θ from 15° to 90°, low angle first)
two_theta	I/Imax
16.24	1
18.78	1
31.39	1
32.82	100
38.08	50
54.95	33
65.50	39
68.81	11
81.46	5


[4]
Diffraction record for In2AsIr. The powder diffraction line list is simulated, not measured: it uses DFT lattice parameters and positions (GGA-PBE) and Cu Kα (λ = 1.5418 Å).

Unit cell a=5.2033 b=5.2033 c=6.3021 alpha=112.75 beta=112.75 gamma=34.39
Element x y z (fractional)
In: 0.0000 0.0000 0.0000
In: 0.1595 0.1595 0.6049
As: 0.3422 0.3422 0.3541
Ir: 0.7337 0.7337 0.0146

Peak list (10 most intense, 2θ from 15° to 90°, low angle first)
two_theta	I/Imax
15.38	71
19.53	42
31.04	51
32.58	48
36.14	75
36.31	100
40.16	28
41.10	42
44.60	55
49.15	35


[5]
Diffraction record for K4Rb2InAs2. The powder diffraction line list is simulated, not measured: it uses DFT lattice parameters and positions (GGA-PBE) and Cu Kα (λ = 1.5418 Å).

Unit cell a=9.1613 b=9.1613 c=9.1613 alpha=144.91 beta=118.27 gamma=73.03
Element x y z (fractional)
K: 0.0648 0.8607 0.2040
K: 0.3433 0.1393 0.2040
K: 0.6567 0.8607 0.7960
K: 0.9352 0.1393 0.7960
Rb: 0.3591 0.3591 0.0000
Rb: 0.6409 0.6409 0.0000
In: 0.0000 0.5000 0.5000
As: 0.1910 0.6910 0.5000
As: 0.8090 0.3090 0.5000

Peak list (10 most intense, 2θ from 15° to 90°, low angle first)
two_theta	I/Imax
17.15	28
18.88	34
25.61	100
30.70	50
30.92	41
31.84	18
32.42	36
38.30	16
51.03	14
57.52	13


[6]
Diffraction record for LaInAs2O8. The powder diffraction line list is simulated, not measured: it uses DFT lattice parameters and positions (GGA-PBE) and Cu Kα (λ = 1.5418 Å).

Unit cell a=6.8778 b=6.8778 c=6.8778 alpha=136.69 beta=136.69 gamma=62.91
Element x y z (fractional)
La: 0.0000 0.0000 0.0000
In: 0.2500 0.7500 0.5000
As: 0.5000 0.5000 0.0000
As: 0.7500 0.2500 0.5000
O: 0.2809 0.6698 0.1110
O: 0.3302 0.4412 0.6111
O: 0.4249 0.0173 0.0891
O: 0.5588 0.1699 0.8890
O: 0.6642 0.5751 0.5924
O: 0.8301 0.7191 0.3889
O: 0.9282 0.3358 0.9109
O: 0.9827 0.0718 0.4076

Peak list (10 most intense, 2θ from 15° to 90°, low angle first)
two_theta	I/Imax
29.17	100
30.47	17
35.37	19
47.36	29
50.88	12
53.35	18
59.73	26
60.48	12
74.77	12
76.83	13


[7]
Diffraction record for Li2InAs. The powder diffraction line list is simulated, not measured: it uses DFT lattice parameters and positions (GGA-PBE) and Cu Kα (λ = 1.5418 Å).

Unit cell a=3.1567 b=4.7794 c=4.8437 alpha=90.00 beta=90.00 gamma=90.00
Element x y z (fractional)
Li: 0.0000 0.0000 0.0000
Li: 0.0000 0.5000 0.3746
In: 0.5000 0.0000 0.4975
As: 0.5000 0.5000 0.8850

Peak list (10 most intense, 2θ from 15° to 90°, low angle first)
two_theta	I/Imax
18.32	21
26.19	100
28.27	46
37.12	16
37.64	27
38.92	85
41.81	18
47.73	22
51.24	15
68.79	15


[8]
Diffraction record for Li2InAs. The powder diffraction line list is simulated, not measured: it uses DFT lattice parameters and positions (GGA-PBE) and Cu Kα (λ = 1.5418 Å).

Unit cell a=5.2691 b=5.2691 c=5.2691 alpha=133.90 beta=133.85 gamma=67.29
Element x y z (fractional)
Li: 0.0000 0.0000 0.0000
Li: 0.7492 0.2492 0.5000
In: 0.4992 0.4992 0.0000
As: 0.2487 0.7487 0.5000

Peak list (10 most intense, 2θ from 15° to 90°, low angle first)
two_theta	I/Imax
23.82	100
36.99	75
37.70	30
41.16	14
43.86	23
50.52	25
59.18	16
61.71	16
72.27	10
76.06	17


[9]
Diffraction record for Mg2InAs4. The powder diffraction line list is simulated, not measured: it uses DFT lattice parameters and positions (GGA-PBE) and Cu Kα (λ = 1.5418 Å).

Unit cell a=8.2265 b=8.2265 c=8.2265 alpha=144.23 beta=144.23 gamma=51.49
Element x y z (fractional)
Mg: 0.1019 0.1019 0.0000
Mg: 0.8981 0.8981 0.0000
In: 0.5000 0.5000 0.0000
As: 0.0000 0.5000 0.5000
As: 0.2761 0.2761 0.0000
As: 0.5000 0.0000 0.5000
As: 0.7239 0.7239 0.0000

Peak list (10 most intense, 2θ from 15° to 90°, low angle first)
two_theta	I/Imax
18.55	44
24.02	75
24.92	32
27.72	49
35.10	72
35.53	100
43.35	61
50.81	49
51.13	35
57.25	27


[10]
Diffraction record for InMoAs4. The powder diffraction line list is simulated, not measured: it uses DFT lattice parameters and positions (GGA-PBE) and Cu Kα (λ = 1.5418 Å).

Unit cell a=5.5215 b=5.5215 c=5.5215 alpha=60.00 beta=60.00 gamma=60.00
Element x y z (fractional)
In: 0.0000 0.0000 0.0000
Mo: 0.7500 0.7500 0.7500
As: 0.3766 0.3766 0.3766
As: 0.3766 0.3766 0.8702
As: 0.3766 0.8702 0.3766
As: 0.8702 0.3766 0.3766

Peak list (10 most intense, 2θ from 15° to 90°, low angle first)
two_theta	I/Imax
32.43	39
38.23	100
40.00	30
46.52	1
57.85	14
61.73	32
67.90	26
77.28	6
80.69	11
81.82	11


[11]
Diffraction record for InMoAs. The powder diffraction line list is simulated, not measured: it uses DFT lattice parameters and positions (GGA-PBE) and Cu Kα (λ = 1.5418 Å).

Unit cell a=7.3075 b=7.1539 c=3.0126 alpha=80.85 beta=75.13 gamma=24.02
Element x y z (fractional)
In: 0.0000 0.0000 0.0000
Mo: 0.6641 0.6641 0.3359
As: 0.2882 0.2882 0.7118

Peak list (10 most intense, 2θ from 15° to 90°, low angle first)
two_theta	I/Imax
25.79	10
36.42	100
37.85	26
39.11	13
45.16	10
49.22	12
55.56	9
63.72	11
67.43	16
83.63	9


[12]
Diffraction record for In2AsN2. The powder diffraction line list is simulated, not measured: it uses DFT lattice parameters and positions (GGA-PBE) and Cu Kα (λ = 1.5418 Å).

Unit cell a=5.7108 b=5.7108 c=5.7108 alpha=133.87 beta=133.87 gamma=67.29
Element x y z (fractional)
In: 0.2500 0.7500 0.5000
In: 0.7500 0.2500 0.5000
As: 0.0000 0.0000 0.0000
N: 0.2439 0.2439 0.0000
N: 0.7561 0.7561 0.0000

Peak list (10 most intense, 2θ from 15° to 90°, low angle first)
two_theta	I/Imax
18.66	49
21.95	24
28.20	16
34.04	100
37.85	26
40.31	44
44.77	19
56.48	31
65.94	18
69.28	25